The following is a simulated powder diffractogram of SrMnFeBiO6. It was derived from a DFT-relaxed cell (GGA+U, the Materials Project), using CuKα.
No peak broadening, texture or thermal motion is included.

The 6 most intense peaks (10 to 80 degrees two-theta), by intensity:
- 2θ = 33.02°, d = 2.713 Å, I = 100, (1 0 4)
- 2θ = 32.59°, d = 2.748 Å, I = 99, (1 1 0)
- 2θ = 47.07°, d = 1.931 Å, I = 60, (0 2 4)
- 2θ = 58.42°, d = 1.580 Å, I = 41, (3 -1 4)
- 2θ = 23.03°, d = 3.861 Å, I = 35, (0 1 2)
- 2θ = 19.83°, d = 4.478 Å, I = 33, (1 0 1)

a = 5.4956 Å, b = 5.4956 Å, c = 13.2085 Å
α = 90.00°, β = 90.00°, γ = 120.00°
Space group R3 (No. 146, hexagonal axes)
One atom of each set of equivalent atoms:
Sr 0.0000 0.0000 0.0000 x3
Mn 0.0000 0.0000 0.7498 x3
Fe 0.0000 0.0000 0.2504 x3
Bi 0.0000 0.0000 0.5018 x3
O 0.0052 0.4362 0.5000 x9
O 0.1209 0.7823 0.3345 x9